Starting from a GGA-PBE-relaxed structure, the powder XRD pattern of ThScSe2 was simulated for Cu Ka.

Unit cell a=3.777 b=3.777 c=22.870 alpha=90.00 beta=90.00 gamma=120.00
Element x y z (fractional)
Th1 0.000 0.000 0.000
Th2 0.333 0.667 0.667
Th3 0.667 0.333 0.333
Sc1 0.000 0.000 0.170
Sc2 0.333 0.667 0.836
Sc3 0.667 0.333 0.503
Se1 0.000 0.000 0.426
Se2 0.000 0.000 0.575
Se3 0.333 0.667 0.093
Se4 0.333 0.667 0.242
Se5 0.667 0.333 0.760
Se6 0.667 0.333 0.909

Top 10 peaks for 2θ from 10° to 80°, by angle:
d [Å]  I (rel.)
7.623  62
3.145  100
2.839  23
2.661  96
2.312  79
1.888  49
1.540  18
1.516  18
1.462  33
1.341  27


Starting from a GGA-PBE-relaxed structure, the powder XRD pattern of ScTiSe3 was simulated for Cu Ka.

Unit cell a=10.036 b=10.036 c=6.544 alpha=90.00 beta=90.00 gamma=158.51
Element x y z (fractional)
Sc1 0.161 0.839 0.500
Sc2 0.839 0.161 0.000
Ti1 0.335 0.665 0.493
Ti2 0.665 0.335 0.993
Se1 0.095 0.905 0.152
Se2 0.250 0.750 0.828
Se3 0.410 0.590 0.178
Se4 0.590 0.410 0.678
Se5 0.750 0.250 0.328
Se6 0.905 0.095 0.652

Top 10 peaks for 2θ from 10° to 80°, by angle:
d [Å]  I (rel.)
4.930  15
3.105  22
2.912  100
2.726  26
2.508  32
2.319  28
2.128  29
1.876  36
1.871  17
1.817  22


Starting from a GGA-PBE-relaxed structure, the powder XRD pattern of Sc2TiSe4 was simulated for Cu Ka.

Unit cell a=13.846 b=3.792 c=6.707 alpha=90.00 beta=118.46 gamma=90.00
Element x y z (fractional)
Sc1 0.246 0.000 0.261
Sc2 0.254 0.500 0.739
Sc3 0.746 0.500 0.261
Sc4 0.754 0.000 0.739
Ti1 0.000 0.500 0.500
Ti2 0.500 0.000 0.500
Se1 0.116 0.500 0.290
Se2 0.122 0.000 0.787
Se3 0.378 0.500 0.213
Se4 0.384 0.000 0.710
Se5 0.616 0.000 0.290
Se6 0.622 0.500 0.787
Se7 0.878 0.000 0.213
Se8 0.884 0.500 0.710

Top 10 peaks for 2θ from 10° to 80°, by angle:
d [Å]  I (rel.)
3.043  16
2.948  51
2.926  22
2.907  47
2.897  100
2.243  72
2.233  26
1.926  55
1.896  27
1.731  22


Starting from a GGA-PBE-relaxed structure, the powder XRD pattern of ScTiSe3 was simulated for Cu Ka.

Unit cell a=6.513 b=6.513 c=6.478 alpha=99.66 beta=99.66 gamma=120.61
Element x y z (fractional)
Sc1 0.165 0.835 0.000
Sc2 0.835 0.165 0.000
Ti1 0.336 0.664 0.500
Ti2 0.664 0.336 0.500
Se1 0.078 0.413 0.738
Se2 0.262 0.262 0.256
Se3 0.413 0.078 0.738
Se4 0.587 0.922 0.262
Se5 0.738 0.738 0.744
Se6 0.922 0.587 0.262

Top 10 peaks for 2θ from 10° to 80°, by angle:
d [Å]  I (rel.)
3.071  20
3.048  9
3.036  9
2.647  100
1.886  12
1.874  23
1.868  23
1.859  11
1.535  12
1.323  10


Starting from a GGA-PBE-relaxed structure, the powder XRD pattern of ScTlSe4 was simulated for Cu Ka.

Unit cell a=7.616 b=7.616 c=7.168 alpha=98.32 beta=98.32 gamma=120.06
Element x y z (fractional)
Sc1 0.003 0.997 0.750
Sc2 0.997 0.003 0.250
Tl1 0.366 0.634 0.750
Tl2 0.634 0.366 0.250
Se1 0.107 0.775 0.486
Se2 0.149 0.329 0.073
Se3 0.225 0.893 0.014
Se4 0.329 0.149 0.573
Se5 0.671 0.851 0.427
Se6 0.775 0.107 0.986
Se7 0.851 0.671 0.927
Se8 0.893 0.225 0.514

Top 10 peaks for 2θ from 10° to 80°, by angle:
d [Å]  I (rel.)
5.403  45
4.755  53
4.172  54
3.402  92
3.299  60
3.110  65
2.749  100
2.646  72
2.484  78
2.365  47


Starting from a GGA-PBE-relaxed structure, the powder XRD pattern of Sc5TlSe4 was simulated for Cu Ka.

Unit cell a=6.815 b=6.815 c=6.815 alpha=99.62 beta=99.62 gamma=131.74
Element x y z (fractional)
Sc1 0.000 0.000 0.000
Sc2 0.192 0.600 0.792
Sc3 0.400 0.192 0.592
Sc4 0.600 0.808 0.408
Sc5 0.808 0.400 0.208
Tl1 0.500 0.500 0.000
Se1 0.102 0.300 0.402
Se2 0.300 0.898 0.198
Se3 0.700 0.102 0.802
Se4 0.898 0.700 0.598

Top 10 peaks for 2θ from 10° to 80°, by angle:
d [Å]  I (rel.)
6.220  10
4.707  11
3.214  34
2.783  100
1.968  72
1.678  17
1.607  24
1.391  7
1.245  20
1.244  10


Starting from a GGA-PBE-relaxed structure, the powder XRD pattern of Tm3ScTl4Se8 was simulated for Cu Ka.

Unit cell a=9.096 b=9.096 c=9.096 alpha=53.55 beta=53.55 gamma=53.55
Element x y z (fractional)
Tm1 0.000 0.500 0.500
Tm2 0.500 0.000 0.500
Tm3 0.500 0.500 0.000
Sc1 0.000 0.000 0.000
Tl1 0.000 0.000 0.500
Tl2 0.000 0.500 0.000
Tl3 0.500 0.000 0.000
Tl4 0.500 0.500 0.500
Se1 0.229 0.229 0.741
Se2 0.229 0.741 0.229
Se3 0.259 0.771 0.771
Se4 0.266 0.266 0.266
Se5 0.734 0.734 0.734
Se6 0.741 0.229 0.229
Se7 0.771 0.259 0.771
Se8 0.771 0.771 0.259

Top 10 peaks for 2θ from 10° to 80°, by angle:
d [Å]  I (rel.)
3.885  12
3.394  18
3.031  100
2.252  37
2.049  35
1.697  19
1.515  11
1.409  13
1.307  15
1.218  10


Starting from a GGA-PBE-relaxed structure, the powder XRD pattern of Tm3ScSe4 was simulated for Cu Ka.

Unit cell a=8.045 b=11.275 c=3.946 alpha=90.00 beta=90.00 gamma=90.00
Element x y z (fractional)
Tm1 0.000 0.000 0.000
Tm2 0.250 0.250 0.500
Tm3 0.250 0.750 0.500
Tm4 0.500 0.500 0.000
Tm5 0.750 0.250 0.500
Tm6 0.750 0.750 0.500
Sc1 0.000 0.500 0.000
Sc2 0.500 0.000 0.000
Se1 0.000 0.253 0.000
Se2 0.000 0.747 0.000
Se3 0.244 0.500 0.500
Se4 0.256 0.000 0.500
Se5 0.500 0.247 0.000
Se6 0.500 0.753 0.000
Se7 0.744 0.000 0.500
Se8 0.756 0.500 0.500

Top 10 peaks for 2θ from 10° to 80°, by angle:
d [Å]  I (rel.)
6.549  8
3.274  7
2.818  100
2.011  13
1.993  49
1.973  12
1.637  13
1.616  12
1.409  12
1.260  22